Starting from a structure optimized by DFT (PBE), the XRD peak list of CsHo5Te8 was calculated for a wavelength of 1.5418 Å.
Kinematic intensities with the Lorentz-polarization factor, no thermal factor.

Cell: 22.5674 4.3925 10.8557 Å, 90.00 104.13 90.00°
Space group Cm (No. 8)
One atom of each set of equivalent atoms:
1 Cs 0.0000 0.0000 0.0000
2 Ho 0.0001 0.5000 0.4995
3 Ho 0.1561 0.0000 0.4698
4 Ho 0.2048 0.0000 0.8441
5 Ho 0.2953 0.5000 0.1550
6 Ho 0.3440 0.5000 0.5293
7 Te 0.0760 0.0000 0.6613
8 Te 0.0837 0.5000 0.3130
9 Te 0.1651 0.5000 0.9966
10 Te 0.2349 0.5000 0.6548
11 Te 0.2652 0.0000 0.3444
12 Te 0.3351 0.0000 0.0025
13 Te 0.4165 0.0000 0.6859
14 Te 0.4241 0.5000 0.3377

Main lines, sorted by position (2θ from 10° to 90°):
d/Å, Position (°2θ), I (rel.)
3.411, 26.1, 1000
3.261, 27.4, 357
2.894, 30.9, 225
2.745, 32.6, 446
2.196, 41.1, 283
2.177, 41.5, 521

***

Starting from a structure optimized by DFT (PBE), the XRD peak list of TaPC2 was calculated for a wavelength of 1.5418 Å.
Kinematic intensities with the Lorentz-polarization factor, no thermal factor.

Cell: 4.9132 4.9132 7.5658 Å, 90.00 90.00 90.00°
Space group I-42d (No. 122)
One atom of each set of equivalent atoms:
1 Ta 0.0000 0.0000 0.0000
2 P 0.0000 0.0000 0.5000
3 C 0.1809 0.2500 0.6250

Main lines, sorted by position (2θ from 10° to 90°):
d/Å, Position (°2θ), I (rel.)
4.121, 21.6, 730
2.559, 35.1, 1000
2.457, 36.6, 372
2.110, 42.9, 314
1.499, 61.9, 216
1.437, 64.9, 332

***

Starting from a structure optimized by DFT (PBE), the XRD peak list of CaCd4Re was calculated for a wavelength of 1.5418 Å.
Kinematic intensities with the Lorentz-polarization factor, no thermal factor.

Cell: 8.0329 8.0329 8.0329 Å, 90.00 90.00 90.00°
Space group F-43m (No. 216)
One atom of each set of equivalent atoms:
1 Ca 0.0000 0.0000 0.0000
2 Cd 0.1242 0.1242 0.6242
3 Re 0.2500 0.2500 0.2500

Main lines, sorted by position (2θ from 10° to 90°):
d/Å, Position (°2θ), I (rel.)
4.638, 19.1, 167
2.840, 31.5, 245
2.422, 37.1, 1000
2.319, 38.8, 419
1.546, 59.8, 320
1.420, 65.8, 258

***

Starting from a structure optimized by DFT (PBE), the XRD peak list of Ru3W4 was calculated for a wavelength of 1.5418 Å.
Kinematic intensities with the Lorentz-polarization factor, no thermal factor.

Cell: 3.1808 3.1808 21.4664 Å, 90.00 90.00 90.00°
Space group I4/mmm (No. 139)
One atom of each set of equivalent atoms:
1 Ru 0.0000 0.0000 0.0000
2 Ru 0.0000 0.0000 0.2921
3 W 0.0000 0.0000 0.1469
4 W 0.0000 0.0000 0.4267

Main lines, sorted by position (2θ from 10° to 90°):
d/Å, Position (°2θ), I (rel.)
2.249, 40.1, 544
2.208, 40.9, 1000
1.590, 58.0, 185
1.290, 73.4, 357
1.267, 75.0, 154
1.104, 88.6, 104

***

Starting from a structure optimized by DFT (PBE), the XRD peak list of K3Na3MgCl8 was calculated for a wavelength of 1.5418 Å.
Kinematic intensities with the Lorentz-polarization factor, no thermal factor.

Cell: 14.2569 8.2215 8.6382 Å, 90.00 123.41 90.00°
Space group C2/m (No. 12)
One atom of each set of equivalent atoms:
1 K 0.0000 0.0000 0.0000
2 K 0.2500 0.2500 0.0000
3 Na 0.0000 0.5000 0.5000
4 Na 0.2500 0.2500 0.5000
5 Mg 0.0000 0.0000 0.5000
6 Cl 0.0079 0.2239 0.2999
7 Cl 0.2159 0.0000 0.7001
8 Cl 0.2403 0.5000 0.7205

Main lines, sorted by position (2θ from 10° to 90°):
d/Å, Position (°2θ), I (rel.)
6.767, 13.1, 212
2.975, 30.0, 1000
2.154, 41.9, 280
2.057, 44.0, 308
1.692, 54.2, 140
1.306, 72.3, 100

***

Starting from a structure optimized by DFT (PBE), the XRD peak list of PmTm2ScS6 was calculated for a wavelength of 1.5418 Å.
Kinematic intensities with the Lorentz-polarization factor, no thermal factor.

Cell: 6.8095 6.8095 18.2631 Å, 90.00 90.00 120.00°
Space group R3 (No. 146, hexagonal axes)
One atom of each set of equivalent atoms:
1 Pm 0.0000 0.0000 0.0000
2 Tm 0.0000 0.0000 0.2925
3 Tm 0.0000 0.0000 0.7983
4 Sc 0.0000 0.0000 0.4911
5 S 0.0172 0.7176 0.3959
6 S 0.0272 0.3483 0.5597

Main lines, sorted by position (2θ from 10° to 90°):
d/Å, Position (°2θ), I (rel.)
4.954, 17.9, 630
3.610, 24.7, 1000
3.405, 26.2, 910
2.477, 36.3, 485
2.269, 39.7, 847
1.966, 46.2, 504

***

Starting from a structure optimized by DFT (PBE), the XRD peak list of Pr2ErPdO5 was calculated for a wavelength of 1.5418 Å.
Kinematic intensities with the Lorentz-polarization factor, no thermal factor.

Cell: 6.6344 6.6344 5.9269 Å, 90.00 90.00 90.00°
Space group P4/mbm (No. 127)
One atom of each set of equivalent atoms:
1 Pr 0.1622 0.3378 0.0000
2 Er 0.0000 0.0000 0.5000
3 Pd 0.0000 0.5000 0.5000
4 O 0.0000 0.0000 0.0000
5 O 0.1703 0.6703 0.2676

Main lines, sorted by position (2θ from 10° to 90°):
d/Å, Position (°2θ), I (rel.)
2.965, 30.1, 672
2.895, 30.9, 1000
2.653, 33.8, 533
2.346, 38.4, 259
2.097, 43.1, 550
1.697, 54.0, 226

***

Starting from a structure optimized by DFT (PBE), the XRD peak list of CsTiRuC2 was calculated for a wavelength of 1.5418 Å.
Kinematic intensities with the Lorentz-polarization factor, no thermal factor.

Cell: 4.2264 4.2264 4.9489 Å, 90.00 90.00 90.00°
Space group P4/mmm (No. 123)
One atom of each set of equivalent atoms:
1 Cs 0.0000 0.0000 0.0000
2 Ti 0.5000 0.5000 0.5000
3 Ru 0.5000 0.5000 0.0000
4 C 0.0000 0.5000 0.5000

Main lines, sorted by position (2θ from 10° to 90°):
d/Å, Position (°2θ), I (rel.)
4.949, 17.9, 658
2.988, 29.9, 1000
2.558, 35.1, 831
2.474, 36.3, 401
2.113, 42.8, 494
1.906, 47.7, 545

***

Starting from a structure optimized by DFT (PBE), the XRD peak list of Co4Si2Ni was calculated for a wavelength of 1.5418 Å.
Kinematic intensities with the Lorentz-polarization factor, no thermal factor.

Cell: 3.0592 3.0592 17.5508 Å, 90.00 90.00 90.00°
Space group I4/mmm (No. 139)
One atom of each set of equivalent atoms:
1 Co 0.0000 0.0000 0.1383
2 Co 0.0000 0.5000 0.2500
3 Si 0.0000 0.0000 0.4203
4 Ni 0.0000 0.0000 0.0000

Main lines, sorted by position (2θ from 10° to 90°):
d/Å, Position (°2θ), I (rel.)
8.775, 10.1, 261
3.014, 29.6, 344
2.100, 43.1, 528
1.940, 46.8, 1000
1.739, 52.6, 261
1.530, 60.5, 309

***

Starting from a structure optimized by DFT (PBE), the XRD peak list of RbLiBi2C was calculated for a wavelength of 1.5418 Å.
Kinematic intensities with the Lorentz-polarization factor, no thermal factor.

Cell: 5.0932 5.0932 5.6598 Å, 90.00 90.00 90.00°
Space group P4/mmm (No. 123)
One atom of each set of equivalent atoms:
1 Rb 0.0000 0.0000 0.0000
2 Li 0.5000 0.5000 0.0000
3 Bi 0.0000 0.5000 0.5000
4 C 0.0000 0.0000 0.5000

Main lines, sorted by position (2θ from 10° to 90°):
d/Å, Position (°2θ), I (rel.)
5.660, 15.7, 489
3.601, 24.7, 295
3.038, 29.4, 1000
2.547, 35.2, 341
1.893, 48.1, 286
1.549, 59.7, 284

***

Starting from a structure optimized by DFT (PBE), the XRD peak list of Li3Ag8Hg2 was calculated for a wavelength of 1.5418 Å.
Kinematic intensities with the Lorentz-polarization factor, no thermal factor.

Cell: 5.4876 5.4876 30.1300 Å, 90.00 90.00 120.00°
Space group R-3m (No. 166, hexagonal axes)
One atom of each set of equivalent atoms:
1 Li 0.0000 0.0000 0.0000
2 Li 0.0000 0.0000 0.1832
3 Ag 0.0000 0.0000 0.2685
4 Ag 0.0011 0.5005 0.7754
5 Hg 0.0000 0.0000 0.3599

Main lines, sorted by position (2θ from 10° to 90°):
d/Å, Position (°2θ), I (rel.)
4.694, 18.9, 613
4.019, 22.1, 559
2.647, 33.9, 894
2.373, 37.9, 864
2.347, 38.3, 1000
2.081, 43.5, 846

***

Starting from a structure optimized by DFT (PBE), the XRD peak list of LaSc3Sb2 was calculated for a wavelength of 1.5418 Å.
Kinematic intensities with the Lorentz-polarization factor, no thermal factor.

Cell: 18.4782 4.3640 9.3327 Å, 90.00 119.60 90.00°
Space group C2/m (No. 12)
One atom of each set of equivalent atoms:
1 La 0.1302 0.0000 0.0783
2 Sc 0.0547 0.0000 0.4094
3 Sc 0.0931 0.5000 0.6832
4 Sc 0.1878 0.5000 0.4669
5 Sb 0.0200 0.5000 0.1770
6 Sb 0.2167 0.0000 0.7291

Main lines, sorted by position (2θ from 10° to 90°):
d/Å, Position (°2θ), I (rel.)
3.383, 26.3, 574
3.131, 28.5, 496
2.825, 31.7, 1000
2.728, 32.8, 828
2.423, 37.1, 498
2.222, 40.6, 524